1.
Structure and theoretical PXRD pattern of KNdSn2O6 (a DFT-relaxed cell (PBE, the Materials Project); Cu Kα X-rays).
No peak broadening, texture or thermal motion is included.

Atomic structure:
abc: 5.7787 5.7787 5.7787
angles: 60.00 60.00 60.00
Fractional coordinates of all 10 atoms:
K  0.0000  0.0000  0.0000
Nd  0.5000  0.5000  0.5000
Sn  0.2500  0.2500  0.2500
Sn  0.7500  0.7500  0.7500
O  0.0000  0.0000  0.5000
O  0.0000  0.5000  0.0000
O  0.0000  0.5000  0.5000
O  0.5000  0.0000  0.0000
O  0.5000  0.0000  0.5000
O  0.5000  0.5000  0.0000

Peak list (6 most intense, 5 to 70 degrees two-theta, in order of rising 2θ)
18.81 deg, I = 15; 30.95 deg, I = 100; 36.46 deg, I = 9; 44.34 deg, I = 33; 55.05 deg, I = 41; 64.50 deg, I = 20

***

2.
Structure and theoretical PXRD pattern of KNdTiSnO6 (a DFT-relaxed cell (PBE, the Materials Project); Cu Kα X-rays).
No peak broadening, texture or thermal motion is included.

Atomic structure:
abc: 5.6628 5.6628 5.6628
angles: 60.00 60.00 60.00
Fractional coordinates of all 10 atoms:
K  0.0000  0.0000  0.0000
Nd  0.5000  0.5000  0.5000
Ti  0.7500  0.7500  0.7500
Sn  0.2500  0.2500  0.2500
O  0.5059  0.5059  0.9941
O  0.5059  0.9941  0.5059
O  0.5059  0.9941  0.9941
O  0.9941  0.5059  0.5059
O  0.9941  0.5059  0.9941
O  0.9941  0.9941  0.5059

Peak list (6 most intense, 5 to 70 degrees two-theta, in order of rising 2θ)
19.20 deg, I = 33; 31.60 deg, I = 100; 37.24 deg, I = 21; 45.29 deg, I = 35; 56.28 deg, I = 39; 65.99 deg, I = 21

***

3.
Structure and theoretical PXRD pattern of KNdTiO4 (a DFT-relaxed cell (PBE, the Materials Project); Cu Kα X-rays).
No peak broadening, texture or thermal motion is included.

Atomic structure:
abc: 13.4118 5.4799 5.4420
angles: 90.00 90.00 90.00
Fractional coordinates of all 28 atoms:
K  0.0928  0.0084  0.2500
K  0.0928  0.4916  0.7500
K  0.9072  0.5084  0.2500
K  0.9072  0.9916  0.7500
Nd  0.3956  0.0146  0.2500
Nd  0.3956  0.4854  0.7500
Nd  0.6044  0.5146  0.2500
Nd  0.6044  0.9854  0.7500
Ti  0.2459  0.5028  0.2500
Ti  0.2459  0.9972  0.7500
Ti  0.7541  0.0028  0.2500
Ti  0.7541  0.4972  0.7500
O  0.1145  0.5132  0.2500
O  0.1145  0.9868  0.7500
O  0.2705  0.2500  0.0000
O  0.2705  0.2500  0.5000
O  0.2831  0.7500  0.0000
O  0.2831  0.7500  0.5000
O  0.4332  0.0415  0.7500
O  0.4332  0.4585  0.2500
O  0.5668  0.5415  0.7500
O  0.5668  0.9585  0.2500
O  0.7169  0.2500  0.0000
O  0.7169  0.2500  0.5000
O  0.7295  0.7500  0.0000
O  0.7295  0.7500  0.5000
O  0.8855  0.0132  0.2500
O  0.8855  0.4868  0.7500

Peak list (6 most intense, 5 to 70 degrees two-theta, in order of rising 2θ)
6.59 deg, I = 100; 26.63 deg, I = 35; 30.59 deg, I = 64; 32.68 deg, I = 19; 32.92 deg, I = 20; 47.05 deg, I = 27

***

4.
Structure and theoretical PXRD pattern of KNdZr4O12 (a DFT-relaxed cell (PBE, the Materials Project); Cu Kα X-rays).
No peak broadening, texture or thermal motion is included.

Atomic structure:
abc: 8.3600 5.8499 5.8499
angles: 89.15 90.00 90.00
Fractional coordinates of all 18 atoms:
K  0.0000  0.0000  0.0000
Nd  0.5000  0.5469  0.5469
Zr  0.2441  0.0339  0.5123
Zr  0.2441  0.5123  0.0339
Zr  0.7559  0.0339  0.5123
Zr  0.7559  0.5123  0.0339
O  0.0000  0.0474  0.4917
O  0.0000  0.4917  0.0474
O  0.2525  0.7401  0.7401
O  0.2694  0.2509  0.7930
O  0.2694  0.7930  0.2509
O  0.3117  0.3196  0.3196
O  0.5000  0.5376  0.9567
O  0.5000  0.9567  0.5376
O  0.6883  0.3196  0.3196
O  0.7306  0.2509  0.7930
O  0.7306  0.7930  0.2509
O  0.7475  0.7401  0.7401

Peak list (6 most intense, 5 to 70 degrees two-theta, in order of rising 2θ)
18.51 deg, I = 52; 21.29 deg, I = 34; 30.29 deg, I = 47; 30.54 deg, I = 100; 43.29 deg, I = 19; 53.96 deg, I = 43

***

5.
Structure and theoretical PXRD pattern of K3NdP2S8 (a DFT-relaxed cell (PBE, the Materials Project); Cu Kα X-rays).
No peak broadening, texture or thermal motion is included.

Atomic structure:
abc: 9.2468 17.2413 9.6693
angles: 90.00 90.77 90.00
Fractional coordinates of all 56 atoms:
K  0.1183  0.2120  0.1296
K  0.1183  0.2880  0.6296
K  0.2325  0.0303  0.5139
K  0.2325  0.4697  0.0139
K  0.3770  0.7071  0.8750
K  0.3770  0.7929  0.3750
K  0.6230  0.2071  0.6250
K  0.6230  0.2929  0.1250
K  0.7675  0.5303  0.9861
K  0.7675  0.9697  0.4861
K  0.8817  0.7120  0.3704
K  0.8817  0.7880  0.8704
Nd  0.2724  0.5146  0.4746
Nd  0.2724  0.9854  0.9746
Nd  0.7276  0.0146  0.0254
Nd  0.7276  0.4854  0.5254
P  0.0247  0.5977  0.7194
P  0.0247  0.9023  0.2194
P  0.4955  0.0996  0.2435
P  0.4955  0.4004  0.7435
P  0.5045  0.5996  0.2565
P  0.5045  0.9004  0.7565
P  0.9753  0.0977  0.7806
P  0.9753  0.4023  0.2806
S  0.0422  0.0203  0.1781
S  0.0422  0.4797  0.6781
S  0.0652  0.6253  0.9195
S  0.0652  0.8747  0.4195
S  0.1628  0.6563  0.5912
S  0.1628  0.8437  0.0912
S  0.1861  0.1266  0.8296
S  0.1861  0.3734  0.3296
S  0.2860  0.6131  0.2266
S  0.2860  0.8869  0.7266
S  0.3817  0.1745  0.3600
S  0.3817  0.3255  0.8600
S  0.4452  0.5165  0.7580
S  0.4452  0.9835  0.2580
S  0.4649  0.1197  0.0330
S  0.4649  0.3803  0.5330
S  0.5351  0.6197  0.4670
S  0.5351  0.8803  0.9670
S  0.5548  0.0165  0.7420
S  0.5548  0.4835  0.2420
S  0.6183  0.6745  0.1400
S  0.6183  0.8255  0.6400
S  0.7140  0.1131  0.2734
S  0.7140  0.3869  0.7734
S  0.8139  0.6266  0.6704
S  0.8139  0.8734  0.1704
S  0.8372  0.1563  0.9088
S  0.8372  0.3437  0.4088
S  0.9348  0.1253  0.5805
S  0.9348  0.3747  0.0805
S  0.9578  0.5203  0.3219
S  0.9578  0.9797  0.8219

Peak list (6 most intense, 5 to 70 degrees two-theta, in order of rising 2θ)
10.26 deg, I = 83; 10.49 deg, I = 100; 16.86 deg, I = 24; 26.86 deg, I = 33; 28.48 deg, I = 46; 34.11 deg, I = 40

***

6.
Structure and theoretical PXRD pattern of K9NdP4S16 (a DFT-relaxed cell (PBE, the Materials Project); Cu Kα X-rays).
No peak broadening, texture or thermal motion is included.

Atomic structure:
abc: 11.3785 11.3785 17.8405
angles: 113.11 113.11 51.40
Fractional coordinates of all 60 atoms:
K  0.0051  0.5138  0.6283
K  0.0099  0.5019  0.1292
K  0.0748  0.0886  0.4779
K  0.0886  0.0748  0.9779
K  0.2491  0.7509  0.7500
K  0.4107  0.4256  0.8962
K  0.4256  0.4107  0.3962
K  0.4862  0.9949  0.8717
K  0.4981  0.9901  0.3708
K  0.5019  0.0099  0.6292
K  0.5138  0.0051  0.1283
K  0.5744  0.5893  0.6038
K  0.5893  0.5744  0.1038
K  0.7509  0.2491  0.2500
K  0.9114  0.9252  0.0221
K  0.9252  0.9114  0.5221
K  0.9901  0.4981  0.8708
K  0.9949  0.4862  0.3717
Nd  0.2509  0.7491  0.2500
Nd  0.7491  0.2509  0.7500
P  0.1201  0.1349  0.7113
P  0.1349  0.1201  0.2113
P  0.3672  0.3776  0.0838
P  0.3776  0.3672  0.5838
P  0.6224  0.6328  0.4162
P  0.6328  0.6224  0.9162
P  0.8651  0.8799  0.7887
P  0.8799  0.8651  0.2887
S  0.0757  0.7565  0.8599
S  0.0851  0.1272  0.8145
S  0.1013  0.7508  0.3579
S  0.1272  0.0851  0.3145
S  0.2263  0.2465  0.7458
S  0.2435  0.9243  0.6401
S  0.2465  0.2263  0.2458
S  0.2492  0.8987  0.1421
S  0.2523  0.5990  0.0680
S  0.2546  0.5775  0.5559
S  0.2565  0.2705  0.0095
S  0.2705  0.2565  0.5095
S  0.3750  0.4130  0.2084
S  0.4010  0.7477  0.4320
S  0.4130  0.3750  0.7084
S  0.4225  0.7454  0.9441
S  0.5775  0.2546  0.0559
S  0.5870  0.6250  0.2916
S  0.5990  0.2523  0.5680
S  0.6250  0.5870  0.7916
S  0.7295  0.7435  0.4905
S  0.7435  0.7295  0.9905
S  0.7454  0.4225  0.4441
S  0.7477  0.4010  0.9320
S  0.7508  0.1013  0.8579
S  0.7535  0.7737  0.7542
S  0.7565  0.0757  0.3599
S  0.7737  0.7535  0.2542
S  0.8728  0.9149  0.6855
S  0.8987  0.2492  0.6421
S  0.9149  0.8728  0.1855
S  0.9243  0.2435  0.1401

Peak list (6 most intense, 5 to 70 degrees two-theta, in order of rising 2θ)
11.02 deg, I = 63; 26.45 deg, I = 82; 29.02 deg, I = 48; 30.47 deg, I = 78; 33.32 deg, I = 100; 34.98 deg, I = 49